# 1
# Cs2CdAu3
Theoretical powder XRD pattern, Cu Ka. Input: DFT lattice parameters and positions (PBE).

The 10 most intense peaks (10 to 90 degrees two-theta), in order of falling intensity:
| d/Å | I/Imax |
| --- | --- |
| 3.264 | 100 |
| 2.914 | 84 |
| 2.855 | 53 |
| 4.969 | 51 |
| 1.632 | 42 |
| 2.485 | 40 |
| 2.928 | 35 |
| 2.137 | 34 |
| 7.193 | 33 |
| 2.348 | 27 |

Structure:
Cell lengths 5.8565, 7.1935, 9.3904 Å; angles 90.00, 90.00, 90.00 degrees
Element x y z (fractional)
Cs 0.2500 0.0000 0.1288
Cs 0.2500 0.5000 0.3658
Cs 0.7500 0.0000 0.8712
Cs 0.7500 0.5000 0.6342
Cd 0.2500 0.5000 0.9039
Cd 0.7500 0.5000 0.0961
Au 0.0000 0.0000 0.5000
Au 0.2500 0.2024 0.7143
Au 0.2500 0.7976 0.7143
Au 0.5000 0.0000 0.5000
Au 0.7500 0.2024 0.2857
Au 0.7500 0.7976 0.2857

***

# 2
# CsPuBe2Cl8
Theoretical powder XRD pattern, Cu Ka. Input: DFT lattice parameters and positions (PBE).

The 10 most intense peaks (10 to 90 degrees two-theta), in order of falling intensity:
| d/Å | I/Imax |
| --- | --- |
| 4.465 | 100 |
| 2.690 | 73 |
| 5.138 | 59 |
| 2.710 | 34 |
| 3.141 | 30 |
| 2.005 | 26 |
| 3.173 | 25 |
| 5.207 | 23 |
| 1.814 | 21 |
| 1.989 | 20 |

Structure:
Cell lengths 11.0285, 11.0285, 11.0285 Å; angles 33.10, 33.10, 33.10 degrees
Element x y z (fractional)
Cs 0.0000 0.0000 0.0000
Pu 0.5000 0.5000 0.5000
Be 0.2436 0.2436 0.2436
Be 0.7564 0.7564 0.7564
Cl 0.0881 0.4709 0.7803
Cl 0.2197 0.9119 0.5291
Cl 0.3061 0.3061 0.3061
Cl 0.4709 0.7803 0.0881
Cl 0.5291 0.2197 0.9119
Cl 0.6939 0.6939 0.6939
Cl 0.7803 0.0881 0.4709
Cl 0.9119 0.5291 0.2197

***

# 3
# Pm5HoSi4
Theoretical powder XRD pattern, Cu Ka. Input: DFT lattice parameters and positions (PBE).

The 10 most intense peaks (10 to 90 degrees two-theta), in order of falling intensity:
| d/Å | I/Imax |
| --- | --- |
| 3.602 | 100 |
| 2.504 | 64 |
| 2.483 | 62 |
| 3.454 | 45 |
| 2.584 | 35 |
| 2.511 | 32 |
| 1.801 | 24 |
| 2.031 | 21 |
| 1.592 | 20 |
| 1.444 | 17 |

Structure:
Cell lengths 8.1500, 8.1500, 6.9089 Å; angles 90.66, 90.66, 35.89 degrees
Element x y z (fractional)
Pm 0.0000 0.0000 0.0000
Pm 0.3342 0.3342 0.4923
Pm 0.3358 0.3358 0.0022
Pm 0.6642 0.6642 0.9978
Pm 0.6658 0.6658 0.5077
Ho 0.0000 0.0000 0.5000
Si 0.1753 0.1753 0.7493
Si 0.4917 0.4917 0.7405
Si 0.5083 0.5083 0.2595
Si 0.8247 0.8247 0.2507

***

# 4
# Nb2Hg3SO4F10
Theoretical powder XRD pattern, Cu Ka. Input: DFT lattice parameters and positions (PBE).

The 10 most intense peaks (10 to 90 degrees two-theta), in order of falling intensity:
| d/Å | I/Imax |
| --- | --- |
| 3.769 | 100 |
| 7.538 | 98 |
| 4.280 | 74 |
| 3.730 | 59 |
| 3.035 | 47 |
| 2.192 | 41 |
| 3.098 | 40 |
| 4.046 | 37 |
| 2.917 | 36 |
| 4.506 | 36 |

Structure:
Cell lengths 10.5575, 9.2907, 12.3105 Å; angles 56.45, 47.18, 76.37 degrees
Element x y z (fractional)
Nb 0.1340 0.8660 0.2522
Nb 0.5022 0.9978 0.3840
Nb 0.8660 0.1340 0.7478
Nb 0.9978 0.5022 0.1160
Hg 0.0678 0.4972 0.7312
Hg 0.2457 0.2457 0.7543
Hg 0.4957 0.4957 0.0043
Hg 0.4972 0.0678 0.7038
Hg 0.5188 0.5462 0.1822
Hg 0.5462 0.5188 0.7528
S 0.6346 0.6346 0.3654
S 0.8846 0.8846 0.6154
O 0.0071 0.9537 0.4221
O 0.5340 0.5581 0.3592
O 0.5581 0.5340 0.5486
O 0.6329 0.8279 0.2963
O 0.7014 0.8908 0.6919
O 0.8279 0.6329 0.2429
O 0.8908 0.7014 0.7160
O 0.9537 0.0071 0.6171
F 0.0326 0.9983 0.1514
F 0.0730 0.3186 0.5249
F 0.0986 0.4323 0.2174
F 0.1473 0.3922 0.9879
F 0.1665 0.7251 0.9314
F 0.2338 0.7235 0.3560
F 0.2621 0.7774 0.1027
F 0.2931 0.8063 0.5722
F 0.3186 0.0730 0.0835
F 0.3922 0.1473 0.4726
F 0.4323 0.0986 0.2517
F 0.5632 0.8940 0.5265
F 0.6778 0.9216 0.9569
F 0.7235 0.2338 0.6868
F 0.7251 0.1665 0.1770
F 0.7774 0.2621 0.8578
F 0.8063 0.2931 0.3284
F 0.8940 0.5632 0.0162
F 0.9216 0.6778 0.4437
F 0.9983 0.0326 0.8177